The following is a theoretical XRD peak list of Cs2CrAgF6. It was derived from a PBE+U-relaxed structure, using Cu Kα (weighted mean of Kα1 and Kα2).
No peak broadening, texture or thermal motion is included.

Peak list (10 most intense, 2θ from 10° to 80°, low angle first)
2θ = 28.15°, I = 100.0; 2θ = 33.14°, I = 3.6; 2θ = 34.66°, I = 10.3; 2θ = 40.23°, I = 34.5; 2θ = 44.02°, I = 3.3; 2θ = 49.83°, I = 38.3; 2θ = 58.21°, I = 20.8; 2θ = 65.89°, I = 18.8; 2θ = 69.55°, I = 2.9; 2θ = 73.13°, I = 6.5

Crystal structure
a b c (Å): 6.340 6.340 6.340
angles (deg): 60.00 60.00 60.00
Fractional coordinates of all 10 atoms:
Cs1 0.250 0.250 0.250
Cs2 0.750 0.750 0.750
Cr1 0.000 0.000 0.000
Ag1 0.500 0.500 0.500
F1 0.220 0.220 0.780
F2 0.220 0.780 0.220
F3 0.220 0.780 0.780
F4 0.780 0.220 0.220
F5 0.780 0.220 0.780
F6 0.780 0.780 0.220